# 1
Computed X-ray powder pattern
Compound: NaPm2Pb4
Radiation: Cu Ka
Structure: a cell relaxed with GGA-PBE
Lines closer than 0.1° are merged.

Unit cell a=6.4124 b=10.5197 c=6.5481 alpha=90.00 beta=90.00 gamma=90.00
Positions (direct):
Na 0.2500 0.2500 0.0499
Na 0.7500 0.7500 0.9501
Pm 0.2500 0.5151 0.6885
Pm 0.2500 0.9849 0.6885
Pm 0.7500 0.0151 0.3115
Pm 0.7500 0.4849 0.3115
Pb 0.0080 0.2500 0.5149
Pb 0.2500 0.5610 0.1733
Pb 0.2500 0.9390 0.1733
Pb 0.4920 0.2500 0.5149
Pb 0.5080 0.7500 0.4851
Pb 0.7500 0.0610 0.8267
Pb 0.7500 0.4390 0.8267
Pb 0.9920 0.7500 0.4851

Main lines, most intense first (2θ from 10° to 90°):
2theta  Rel. int.
32.71  100
32.20  77
21.67  49
39.33  45
30.66  40
13.52  40

***

# 2
Computed X-ray powder pattern
Compound: ZrScCuSn
Radiation: Cu Ka
Structure: a cell relaxed with GGA-PBE
Lines closer than 0.1° are merged.

Unit cell a=4.8359 b=4.8359 c=4.8359 alpha=60.00 beta=60.00 gamma=60.00
Positions (direct):
Zr 0.0000 0.0000 0.0000
Sc 0.5000 0.5000 0.5000
Cu 0.2500 0.2500 0.2500
Sn 0.7500 0.7500 0.7500

Main lines, most intense first (2θ from 10° to 90°):
2theta  Rel. int.
37.18  100
67.04  34
53.60  17
22.52  11
79.24  11
43.91  6

***

# 3
Computed X-ray powder pattern
Compound: GeO2
Radiation: Cu Ka
Structure: a cell relaxed with GGA-PBE
Lines closer than 0.1° are merged.

Unit cell a=4.3696 b=5.4105 c=4.8395 alpha=90.00 beta=90.00 gamma=90.00
Positions (direct):
Ge 0.0000 0.1585 0.2500
Ge 0.0000 0.8415 0.7500
Ge 0.5000 0.3415 0.7500
Ge 0.5000 0.6585 0.2500
O 0.2321 0.1125 0.5784
O 0.2321 0.8875 0.0784
O 0.2679 0.3875 0.0784
O 0.2679 0.6125 0.5784
O 0.7321 0.3875 0.4216
O 0.7321 0.6125 0.9216
O 0.7679 0.1125 0.9216
O 0.7679 0.8875 0.4216

Main lines, most intense first (2θ from 10° to 90°):
2theta  Rel. int.
32.18  100
26.22  43
57.46  32
38.11  23
56.77  20
55.09  16

***

# 4
Computed X-ray powder pattern
Compound: Tb5PmAl4
Radiation: Cu Ka
Structure: a cell relaxed with GGA-PBE
Lines closer than 0.1° are merged.

Unit cell a=3.5934 b=3.5934 c=19.8707 alpha=90.00 beta=90.00 gamma=90.00
Positions (direct):
Tb 0.0000 0.0000 0.0000
Tb 0.0000 0.0000 0.1840
Tb 0.0000 0.0000 0.3686
Tb 0.0000 0.0000 0.6314
Tb 0.0000 0.0000 0.8160
Pm 0.5000 0.5000 0.5000
Al 0.5000 0.5000 0.0922
Al 0.5000 0.5000 0.2772
Al 0.5000 0.5000 0.7228
Al 0.5000 0.5000 0.9078

Main lines, most intense first (2θ from 10° to 90°):
2theta  Rel. int.
33.62  100
35.32  66
24.78  42
62.32  34
50.82  24
57.06  20

***

What did the second record say?
Computed X-ray powder pattern
Compound: ZrScCuSn
Radiation: Cu Ka
Structure: a cell relaxed with GGA-PBE
Lines closer than 0.1° are merged.

Unit cell a=4.8359 b=4.8359 c=4.8359 alpha=60.00 beta=60.00 gamma=60.00
Positions (direct):
Zr 0.0000 0.0000 0.0000
Sc 0.5000 0.5000 0.5000
Cu 0.2500 0.2500 0.2500
Sn 0.7500 0.7500 0.7500

Main lines, most intense first (2θ from 10° to 90°):
2theta  Rel. int.
37.18  100
67.04  34
53.60  17
22.52  11
79.24  11
43.91  6

***

- What is the formula in the fourth record?
  Tb5PmAl4